Mg11Cu2O13: calculated PXRD pattern (Cu Kα, 1.54184 Å), based on DFT lattice parameters and positions (GGA-PBE).
No peak broadening, texture or thermal motion is included.

Cell and atoms:
a = 19.7435 Å, b = 19.7435 Å, c = 19.7435 Å
α = 171.24°, β = 167.65°, γ = 15.16°
Atoms (fractional coordinates):
Mg1 0.0000 0.0000 0.0000
Mg2 0.0767 0.0767 0.0000
Mg3 0.2311 0.2311 0.0000
Mg4 0.3082 0.3082 0.0000
Mg5 0.3842 0.3842 0.0000
Mg6 0.4615 0.4615 0.0000
Mg7 0.5385 0.5385 0.0000
Mg8 0.6158 0.6158 0.0000
Mg9 0.6918 0.6918 0.0000
Mg10 0.7689 0.7689 0.0000
Mg11 0.9233 0.9233 0.0000
Cu1 0.1539 0.1539 0.0000
Cu2 0.8461 0.8461 0.0000
O1 0.0384 0.5384 0.5000
O2 0.1146 0.6146 0.5000
O3 0.1931 0.6931 0.5000
O4 0.2694 0.7694 0.5000
O5 0.3462 0.8462 0.5000
O6 0.4231 0.9231 0.5000
O7 0.5000 0.0000 0.5000
O8 0.5769 0.0769 0.5000
O9 0.6538 0.1538 0.5000
O10 0.7306 0.2306 0.5000
O11 0.8069 0.3069 0.5000
O12 0.8854 0.3854 0.5000
O13 0.9616 0.4616 0.5000

Most intense lines, 10° ≤ 2θ ≤ 90°, in order of rising 2θ:
2theta, intensity
13.57, 12
22.01, 10
36.56, 34
42.42, 100
42.58, 49
61.49, 14
61.65, 70
73.72, 6
73.80, 6
73.98, 6
77.66, 13
77.77, 13

=====

Sr12Si5Sn: calculated PXRD pattern (Cu Kα, 1.54184 Å), based on DFT lattice parameters and positions (GGA-PBE).
No peak broadening, texture or thermal motion is included.

Cell and atoms:
a = 9.3835 Å, b = 9.3835 Å, c = 9.3835 Å
α = 113.00°, β = 109.93°, γ = 105.57°
Atoms (fractional coordinates):
Sr1 0.0307 0.2278 0.8029
Sr2 0.1808 0.2766 0.4574
Sr3 0.1808 0.7234 0.9043
Sr4 0.3254 0.0202 0.6948
Sr5 0.3254 0.6306 0.3052
Sr6 0.4249 0.2278 0.1971
Sr7 0.5751 0.7722 0.8029
Sr8 0.6746 0.3694 0.6948
Sr9 0.6746 0.9798 0.3052
Sr10 0.8192 0.2766 0.0957
Sr11 0.8192 0.7234 0.5426
Sr12 0.9693 0.7722 0.1971
Si1 0.0000 0.0000 0.0000
Si2 0.1079 0.6079 0.5000
Si3 0.3738 0.0000 0.3738
Si4 0.6262 0.0000 0.6262
Si5 0.8921 0.3921 0.5000
Sn1 0.5000 0.5000 0.0000

Most intense lines, 10° ≤ 2θ ≤ 90°, in order of rising 2θ:
2theta, intensity
26.02, 29
27.12, 26
28.62, 100
30.41, 50
30.70, 45
31.32, 20
31.52, 16
31.78, 21
34.64, 22
49.89, 16
51.93, 17
53.56, 23

=====

Ba6MgNb2IrCl2O12: calculated PXRD pattern (Cu Kα, 1.54184 Å), based on DFT lattice parameters and positions (GGA-PBE).
No peak broadening, texture or thermal motion is included.

Cell and atoms:
a = 5.9725 Å, b = 5.9725 Å, c = 15.8586 Å
α = 90.00°, β = 90.00°, γ = 120.00°
Atoms (fractional coordinates):
Ba1 0.0000 0.0000 0.0000
Ba2 0.0000 0.0000 0.2383
Ba3 0.0000 0.0000 0.6100
Ba4 0.6667 0.3333 0.1490
Ba5 0.6667 0.3333 0.4116
Ba6 0.6667 0.3333 0.7343
Mg1 0.0000 0.0000 0.4253
Nb1 0.3333 0.6667 0.1826
Nb2 0.3333 0.6667 0.5594
Ir1 0.3333 0.6667 0.3663
Cl1 0.0000 0.0000 0.7986
Cl2 0.6667 0.3333 0.9448
O1 0.0135 0.5068 0.6193
O2 0.0308 0.5154 0.2769
O3 0.1719 0.3439 0.1185
O4 0.1719 0.8281 0.1185
O5 0.1805 0.3609 0.4605
O6 0.1805 0.8195 0.4605
O7 0.4846 0.5154 0.2769
O8 0.4846 0.9692 0.2769
O9 0.4932 0.5068 0.6193
O10 0.4932 0.9865 0.6193
O11 0.6391 0.8195 0.4605
O12 0.6561 0.8281 0.1185

Most intense lines, 10° ≤ 2θ ≤ 90°, in order of rising 2θ:
2theta, intensity
18.04, 36
24.07, 35
28.36, 26
29.92, 100
33.13, 26
38.76, 24
41.53, 30
45.24, 15
49.27, 13
53.12, 20
55.19, 13
62.17, 17

=====

ZnTePbO5: calculated PXRD pattern (Cu Kα, 1.54184 Å), based on DFT lattice parameters and positions (GGA-PBE).
No peak broadening, texture or thermal motion is included.

Cell and atoms:
a = 5.8823 Å, b = 5.8823 Å, c = 8.3393 Å
α = 110.07°, β = 110.07°, γ = 90.13°
Atoms (fractional coordinates):
Zn1 0.0480 0.9520 0.7500
Zn2 0.9520 0.0480 0.2500
Te1 0.4184 0.5816 0.7500
Te2 0.5816 0.4184 0.2500
Pb1 0.0000 0.5000 0.0000
Pb2 0.5000 0.0000 0.5000
O1 0.1569 0.6643 0.8394
O2 0.1898 0.8102 0.2500
O3 0.2452 0.2693 0.5000
O4 0.2693 0.2452 0.0000
O5 0.3357 0.8431 0.6606
O6 0.6643 0.1569 0.3394
O7 0.7307 0.7548 0.0000
O8 0.7548 0.7307 0.5000
O9 0.8102 0.1898 0.7500
O10 0.8431 0.3357 0.1606

Most intense lines, 10° ≤ 2θ ≤ 90°, in order of rising 2θ:
2theta, intensity
16.31, 35
23.63, 100
24.82, 90
32.69, 69
34.47, 26
34.63, 87
42.85, 26
48.86, 16
49.01, 16
50.36, 26
50.51, 19
56.23, 31

=====

Pa2AsRh: calculated PXRD pattern (Cu Kα, 1.54184 Å), based on DFT lattice parameters and positions (GGA-PBE).
No peak broadening, texture or thermal motion is included.

Cell and atoms:
a = 5.9438 Å, b = 3.9247 Å, c = 8.0733 Å
α = 90.00°, β = 110.88°, γ = 90.00°
Atoms (fractional coordinates):
Pa1 0.2122 0.2500 0.4423
Pa2 0.2168 0.2500 0.9041
Pa3 0.7832 0.7500 0.0959
Pa4 0.7878 0.7500 0.5577
As1 0.3098 0.7500 0.1966
As2 0.6902 0.2500 0.8034
Rh1 0.3584 0.7500 0.7114
Rh2 0.6416 0.2500 0.2886

Most intense lines, 10° ≤ 2θ ≤ 90°, in order of rising 2θ:
2theta, intensity
27.84, 59
32.24, 59
32.52, 41
32.73, 79
32.94, 100
33.13, 39
39.77, 35
40.00, 44
40.51, 32
44.92, 34
46.26, 38
57.51, 26

=====

CrCdAg2: calculated PXRD pattern (Cu Kα, 1.54184 Å), based on DFT lattice parameters and positions (GGA-PBE).
No peak broadening, texture or thermal motion is included.

Cell and atoms:
a = 4.1660 Å, b = 4.1660 Å, c = 8.3791 Å
α = 90.00°, β = 90.00°, γ = 90.00°
Atoms (fractional coordinates):
Cr1 0.0000 0.0000 0.0000
Cr2 0.5000 0.5000 0.5000
Cd1 0.0000 0.5000 0.7500
Cd2 0.5000 0.0000 0.2500
Ag1 0.0000 0.0000 0.5000
Ag2 0.0000 0.5000 0.2500
Ag3 0.5000 0.0000 0.7500
Ag4 0.5000 0.5000 0.0000

Most intense lines, 10° ≤ 2θ ≤ 90°, in order of rising 2θ:
2theta, intensity
21.21, 2
23.85, 7
30.34, 2
37.32, 100
38.82, 2
43.19, 16
43.44, 32
62.92, 20
63.12, 10
75.31, 12
75.68, 23
79.56, 10